[1]
Structure and calculated powder X-ray diffraction pattern of PmPaTcRh (a crystal structure in Alexandria, relaxed with GGA-PBE; Cu Kα).

Cell and atoms:
Cell: 6.951 6.951 6.951 Å, 90.00 90.00 90.00°
Space group F-43m (No. 216)
Unique sites:
Pm: 0.000 0.000 0.000 [4 per cell]
Pa: 0.000 0.000 0.500 [4 per cell]
Tc: 0.250 0.250 0.250 [4 per cell]
Rh: 0.250 0.250 0.750 [4 per cell]

Most intense lines, 2θ from 10° to 80°, most intense first:
index  Position (°2θ)  intensity
2 2 0  36.6  100.0
4 2 2  65.8  36.0
4 0 0  52.7  17.6
4 4 0  77.7  11.2
2 0 0  25.6  9.9
4 2 0  59.5  4.4
1 1 1  22.2  4.1
2 2 2  45.2  3.2
3 1 1  43.2  2.4
3 3 1  57.8  1.1

***

[2]
Structure and calculated powder X-ray diffraction pattern of Pm5PaRu6 (a crystal structure in Alexandria, relaxed with GGA-PBE; Cu Kα).

Cell and atoms:
Cell: 4.975 14.609 6.994 Å, 90.00 90.00 90.00°
Space group Cmmm (No. 65)
Unique sites:
Pm: 0.000 0.000 0.000 [2 per cell]
Pm: 0.000 0.330 0.500 [4 per cell]
Pm: 0.000 0.333 0.000 [4 per cell]
Pa: 0.000 0.000 0.500 [2 per cell]
Ru: 0.000 0.151 0.269 [8 per cell]
Ru: 0.000 0.500 0.268 [4 per cell]

Most intense lines, 2θ from 10° to 80°, most intense first:
index  Position (°2θ)  intensity
1 3 2  36.4  100.0
3 3 2  65.2  26.8
2 0 0  36.1  26.7
0 6 0  36.9  23.0
2 6 0  52.6  16.6
1 9 2  66.2  14.6
2 6 4  77.4  9.8
0 0 4  52.3  8.5
0 6 4  65.7  7.8
1 3 0  25.6  6.4

***

[3]
Structure and calculated powder X-ray diffraction pattern of PmPaRu (a crystal structure in Alexandria, relaxed with GGA-PBE; Cu Kα).

Cell and atoms:
Cell: 7.592 5.887 3.727 Å, 90.00 90.00 90.00°
Space group Pmma (No. 51)
Unique sites:
Pm: 0.250 0.000 0.188 [2 per cell]
Pa: 0.000 0.500 0.500 [2 per cell]
Ru: 0.250 0.500 0.966 [2 per cell]

Most intense lines, 2θ from 10° to 80°, most intense first:
index  Position (°2θ)  intensity
0 2 0  30.4  100.0
2 0 1  33.7  98.1
2 2 1  46.0  97.1
2 1 0  28.0  78.0
0 1 0  15.0  76.6
2 1 1  37.1  76.3
1 1 1  30.7  42.8
0 1 2  51.4  37.0
0 1 1  28.3  33.5
4 2 0  57.8  32.8

***

[4]
Structure and calculated powder X-ray diffraction pattern of Pm2SmPaRu2 (a crystal structure in Alexandria, relaxed with GGA-PBE; Cu Kα).

Cell and atoms:
Cell: 7.045 13.548 6.841 Å, 90.00 90.00 90.00°
Space group Ibam (No. 72)
Unique sites:
Pm: 0.207 0.195 0.000 [8 per cell]
Sm: 0.000 0.500 0.250 [4 per cell]
Pa: 0.000 0.000 0.250 [4 per cell]
Ru: 0.206 0.097 0.500 [8 per cell]

Most intense lines, 2θ from 10° to 80°, most intense first:
index  Position (°2θ)  intensity
2 0 2  36.6  100.0
0 2 2  29.3  82.3
2 2 0  28.6  77.2
1 4 1  32.1  73.2
0 2 0  13.1  43.6
0 4 2  37.4  33.1
1 1 0  14.2  33.0
2 4 0  36.8  32.3
2 8 0  60.7  30.0
1 6 1  44.2  22.2

***

[5]
Structure and calculated powder X-ray diffraction pattern of Pm2ThPa2Ru5 (a crystal structure in Alexandria, relaxed with GGA-PBE; Cu Kα).

Cell and atoms:
Cell: 10.674 10.674 3.772 Å, 90.00 90.00 90.00°
Space group P4/mbm (No. 127)
Unique sites:
Pm: 0.175 0.325 0.000 [4 per cell]
Th: 0.000 0.000 0.000 [2 per cell]
Pa: 0.132 0.632 0.000 [4 per cell]
Ru: 0.000 0.500 0.500 [2 per cell]
Ru: 0.057 0.793 0.500 [8 per cell]

Most intense lines, 2θ from 10° to 80°, most intense first:
index  Position (°2θ)  intensity
3 1 1  35.7  100.0
3 2 1  38.7  26.4
0 0 2  48.2  25.4
3 1 0  26.4  20.7
2 2 1  33.6  19.3
2 1 0  18.6  14.8
4 1 0  34.6  14.7
6 3 0  58.0  13.8
4 0 1  41.4  12.9
4 2 0  37.7  12.5

***

[6]
Structure and calculated powder X-ray diffraction pattern of PmY2PaRu2 (a crystal structure in Alexandria, relaxed with GGA-PBE; Cu Kα).

Cell and atoms:
Cell: 7.100 13.608 6.743 Å, 90.00 90.00 90.00°
Space group Ibam (No. 72)
Unique sites:
Pm: 0.000 0.000 0.250 [4 per cell]
Y: 0.173 0.299 0.000 [8 per cell]
Pa: 0.000 0.500 0.250 [4 per cell]
Ru: 0.199 0.399 0.500 [8 per cell]

Most intense lines, 2θ from 10° to 80°, most intense first:
index  Position (°2θ)  intensity
0 2 0  13.0  100.0
2 0 2  36.8  87.0
0 2 2  29.6  80.1
2 2 0  28.4  70.2
1 1 0  14.1  52.0
2 4 0  36.6  48.2
0 4 2  37.6  46.4
1 4 1  32.1  42.0
2 2 2  39.2  40.4
0 6 2  48.4  24.1

***

[7]
Structure and calculated powder X-ray diffraction pattern of Pm5PaS7 (a crystal structure in Alexandria, relaxed with GGA-PBE; Cu Kα).

Cell and atoms:
Cell: 13.416 3.926 23.316 Å, 90.00 92.61 90.00°
Space group C2/m (No. 12)
Unique sites:
Pm: 0.000 0.000 0.000 [2 per cell]
Pm: 0.000 0.000 0.500 [2 per cell]
Pm: 0.043 0.500 0.352 [4 per cell]
Pm: 0.057 0.500 0.151 [4 per cell]
Pm: 0.217 0.500 0.927 [4 per cell]
Pm: 0.230 0.500 0.573 [4 per cell]
Pa: 0.208 0.000 0.732 [4 per cell]
S: 0.067 0.500 0.753 [4 per cell]
S: 0.081 0.000 0.888 [4 per cell]
S: 0.100 0.000 0.617 [4 per cell]
S: 0.134 0.500 0.463 [4 per cell]
S: 0.139 0.500 0.040 [4 per cell]
S: 0.176 0.000 0.317 [4 per cell]
S: 0.202 0.000 0.185 [4 per cell]

Most intense lines, 2θ from 10° to 80°, most intense first:
index  Position (°2θ)  intensity
3 1 -3  32.1  100.0
2 0 6  27.1  99.6
2 0 -6  26.0  99.3
3 1 2  31.5  83.6
3 1 -2  31.1  58.9
0 2 0  46.3  57.7
1 1 -3  26.2  56.7
1 1 4  28.4  54.3
3 1 3  32.8  51.4
1 1 -10  45.5  46.3

***

[8]
Structure and calculated powder X-ray diffraction pattern of PmPa2S5 (a crystal structure in Alexandria, relaxed with GGA-PBE; Cu Kα).

Cell and atoms:
Cell: 12.073 7.846 7.390 Å, 90.00 90.00 90.00°
Space group Pnma (No. 62)
Unique sites:
Pm: 0.004 0.250 0.082 [4 per cell]
Pa: 0.181 0.000 0.511 [8 per cell]
S: 0.000 0.250 0.472 [4 per cell]
S: 0.110 0.543 0.162 [8 per cell]
S: 0.186 0.250 0.820 [4 per cell]
S: 0.216 0.750 0.792 [4 per cell]

Most intense lines, 2θ from 10° to 80°, most intense first:
index  Position (°2θ)  intensity
3 0 1  25.2  100.0
2 2 2  36.6  60.8
2 2 0  27.1  56.3
3 2 1  34.1  55.9
1 2 1  26.8  50.7
0 0 2  24.1  50.5
5 2 1  45.8  44.3
3 2 3  49.2  29.0
3 4 1  53.4  28.4
3 0 3  43.0  27.0

***

[9]
Structure and calculated powder X-ray diffraction pattern of PmPa2Se4 (a crystal structure in Alexandria, relaxed with GGA-PBE; Cu Kα).

Cell and atoms:
Cell: 9.221 9.221 9.020 Å, 90.00 90.00 90.00°
Space group I4_1/amd (No. 141, origin choice 2)
Unique sites:
Pm: 0.000 0.250 0.375 [4 per cell]
Pa: 0.000 0.000 0.000 [8 per cell]
Se: 0.000 0.062 0.682 [16 per cell]

Most intense lines, 2θ from 10° to 80°, most intense first:
index  Position (°2θ)  intensity
1 0 3  31.3  100.0
3 2 1  36.5  91.8
2 1 1  23.7  80.9
2 2 0  27.4  79.4
4 0 0  39.1  63.6
2 0 2  27.7  39.8
2 2 4  49.1  37.2
3 0 3  42.0  35.1
4 2 2  48.5  34.6
1 0 1  13.7  31.6

***

[10]
Structure and calculated powder X-ray diffraction pattern of Pm5Pa3Se8 (a crystal structure in Alexandria, relaxed with GGA-PBE; Cu Kα).

Cell and atoms:
Cell: 8.2290 8.2290 20.6531 Å, 90.00 90.00 120.00°
Space group R-3m (No. 166, hexagonal axes)
Unique sites:
Pm: 0.0000 0.0000 0.0000 [3 per cell]
Pm: 0.0000 0.0000 0.5000 [3 per cell]
Pm: 0.0000 0.5000 0.0000 [9 per cell]
Pa: 0.0000 0.5000 0.5000 [9 per cell]
Se: 0.0000 0.0000 0.2484 [6 per cell]
Se: 0.0029 0.5015 0.7514 [18 per cell]

Most intense lines, 2θ from 10° to 80°, most intense first:
index  Position (°2θ)  intensity
0 2 4  30.5  100.0
2 0 8  43.3  38.4
2 2 0  44.0  36.6
2 0 2  26.5  19.9
4 0 4  54.5  19.6
2 2 12  71.5  17.4
2 4 4  72.5  16.7
0 4 8  63.4  12.4
0 0 6  25.9  7.0
0 0 12  53.2  7.0

***

[11]
Structure and calculated powder X-ray diffraction pattern of Pm4PaSe5 (a crystal structure in Alexandria, relaxed with GGA-PBE; Cu Kα).

Cell and atoms:
Cell: 4.1310 4.1310 52.0576 Å, 90.00 90.00 120.00°
Space group R-3m (No. 166, hexagonal axes)
Unique sites:
Pm: 0.0000 0.0000 0.1018 [6 per cell]
Pm: 0.0000 0.0000 0.3004 [6 per cell]
Pa: 0.0000 0.0000 0.5000 [3 per cell]
Se: 0.0000 0.0000 0.0000 [3 per cell]
Se: 0.0000 0.0000 0.1988 [6 per cell]
Se: 0.0000 0.0000 0.4006 [6 per cell]

Most intense lines, 2θ from 10° to 80°, most intense first:
index  Position (°2θ)  intensity
1 0 10  30.3  100.0
0 1 20  43.0  38.0
1 1 0  43.8  36.5
0 2 10  54.2  19.4
1 1 30  70.9  16.9
2 1 10  72.2  16.6
0 1 5  26.3  16.4
1 2 20  80.0  12.5
2 0 20  63.1  12.2
0 0 30  52.8  6.8

***

[12]
Structure and calculated powder X-ray diffraction pattern of PmPaSe2 (a crystal structure in Alexandria, relaxed with GGA-PBE; Cu Kα).

Cell and atoms:
Cell: 4.0439 4.0439 21.1652 Å, 90.00 90.00 120.00°
Space group R-3m (No. 166, hexagonal axes)
Unique sites:
Pm: 0.0000 0.0000 0.0000 [3 per cell]
Pa: 0.0000 0.0000 0.5000 [3 per cell]
Se: 0.0000 0.0000 0.2488 [6 per cell]

Most intense lines, 2θ from 10° to 80°, most intense first:
index  Position (°2θ)  intensity
1 0 4  30.6  100.0
0 1 8  42.8  40.1
1 1 0  44.8  35.2
0 1 2  26.8  21.9
0 2 4  55.3  19.1
1 1 12  70.9  18.1
2 1 4  73.8  16.3
2 0 8  63.7  12.4
0 0 6  25.2  8.5
0 0 12  51.8  7.7